# 1
Starting from a crystal structure in Alexandria, relaxed with GGA-PBE, the X-ray powder pattern of NaAg8 was calculated for a wavelength of 1.5418 Å.
Lines closer than 0.1° are merged.

Cell and atoms:
```
data_NaAg8
_cell_length_a 10.5489
_cell_length_b 10.5489
_cell_length_c 3.0077
_cell_angle_alpha 90.00
_cell_angle_beta 90.00
_cell_angle_gamma 90.00
_symmetry_space_group_name_H-M 'I 4/m m m'
_symmetry_Int_Tables_number 139
_symmetry_space_group_name_Hall '-I 4 2'
loop_
_atom_site_label
_atom_site_type_symbol
_atom_site_fract_x
_atom_site_fract_y
_atom_site_fract_z
_atom_site_occupancy
Na1 Na 0.0000 0.0000 0.0000 1
Ag1 Ag 0.0000 0.3323 0.0000 1
Ag2 Ag 0.1695 0.1695 0.5000 1
```

Principal peaks in the range 2θ = 10–80°, most intense first:
2theta  I_rel
39.42  100
36.12  64
67.17  38
52.01  21
73.61  15
11.86  9
61.68  7
76.65  6

***

# 2
Starting from a crystal structure in Alexandria, relaxed with GGA-PBE, the X-ray powder pattern of Na5Ag4 was calculated for a wavelength of 1.5418 Å.
Lines closer than 0.1° are merged.

Cell and atoms:
```
data_Na5Ag4
_cell_length_a 8.7455
_cell_length_b 5.1002
_cell_length_c 10.4732
_cell_angle_alpha 90.00
_cell_angle_beta 106.05
_cell_angle_gamma 90.00
_symmetry_space_group_name_H-M 'C 1 2/m 1'
_symmetry_Int_Tables_number 12
loop_
_symmetry_equiv_pos_as_xyz
'x,y,z'
'-x,-y,-z'
'-x,y,-z'
'x,-y,z'
'x+1/2,y+1/2,z'
'-x+1/2,-y+1/2,-z'
'-x+1/2,y+1/2,-z'
'x+1/2,-y+1/2,z'
loop_
_atom_site_label
_atom_site_type_symbol
_atom_site_fract_x
_atom_site_fract_y
_atom_site_fract_z
_atom_site_occupancy
Na1 Na 0.0000 0.0000 0.0000 1
Na2 Na 0.1405 0.0000 0.4196 1
Na3 Na 0.2414 0.5000 0.2181 1
Ag1 Ag 0.0447 0.5000 0.6384 1
Ag2 Ag 0.1368 0.5000 0.9174 1
```

Principal peaks in the range 2θ = 10–80°, most intense first:
2theta  I_rel
20.37  100
35.47  83
38.68  62
36.04  48
20.53  47
35.19  43
36.18  24
51.37  17

***

# 3
Starting from a crystal structure in Alexandria, relaxed with GGA-PBE, the X-ray powder pattern of Na4Ag was calculated for a wavelength of 1.5418 Å.
Lines closer than 0.1° are merged.

Cell and atoms:
```
data_Na4Ag
_cell_length_a 6.5893
_cell_length_b 6.5893
_cell_length_c 14.9035
_cell_angle_alpha 90.00
_cell_angle_beta 90.00
_cell_angle_gamma 90.00
_symmetry_space_group_name_H-M 'I 41/a'
_symmetry_Int_Tables_number 88
loop_
_symmetry_equiv_pos_as_xyz
'x,y,z'
'-x,-y,-z'
'-y+3/4,x+1/4,z+1/4'
'y+3/4,-x+1/4,-z+1/4'
'-x+1/2,-y,z+1/2'
'x+1/2,y,-z+1/2'
'y+3/4,-x+3/4,z+3/4'
'-y+3/4,x+3/4,-z+3/4'
'x+1/2,y+1/2,z+1/2'
'-x+1/2,-y+1/2,-z+1/2'
'-y+1/4,x+3/4,z+3/4'
'y+1/4,-x+3/4,-z+3/4'
'-x,-y+1/2,z'
'x,y+1/2,-z'
'y+1/4,-x+1/4,z+1/4'
'-y+1/4,x+1/4,-z+1/4'
loop_
_atom_site_label
_atom_site_type_symbol
_atom_site_fract_x
_atom_site_fract_y
_atom_site_fract_z
_atom_site_occupancy
Na1 Na 0.1412 0.4870 0.2961 1
Ag1 Ag 0.0000 0.2500 0.1250 1
```

Principal peaks in the range 2θ = 10–80°, most intense first:
2theta  I_rel
22.49  100
14.70  99
30.93  60
35.42  47
45.17  46
36.40  36
32.98  31
41.18  19